Ca2MgFeC4O12: simulated X-ray diffraction stick pattern (Cu Kα X-rays), based on the PBE+U geometry in Alexandria.
Lines closer than 0.1° are merged.

Atomic structure:
```
data_Ca2MgFeC4O12
_symmetry_space_group_name_H-M 'P 1'
_symmetry_Int_Tables_number 1
_cell_length_a 4.887
_cell_length_b 6.115
_cell_length_c 7.837
_cell_angle_alpha 106.71
_cell_angle_beta 90.06
_cell_angle_gamma 90.50
loop_
_symmetry_equiv_pos_as_xyz
'x,y,z'
loop_
_atom_site_label
_atom_site_type_symbol
_atom_site_fract_x
_atom_site_fract_y
_atom_site_fract_z
Ca1 Ca 0.000 0.000 0.000
Ca2 Ca 0.500 0.500 0.500
Mg1 Mg 0.000 0.000 0.500
Fe1 Fe 0.500 0.500 0.000
C1 C 0.001 0.486 0.755
C2 C 0.500 0.013 0.741
C3 C 0.500 0.987 0.259
C4 C 0.999 0.514 0.245
O1 O 0.114 0.346 0.617
O2 O 0.154 0.617 0.880
O3 O 0.236 0.003 0.273
O4 O 0.263 0.496 0.235
O5 O 0.343 0.887 0.618
O6 O 0.391 0.147 0.884
O7 O 0.609 0.853 0.116
O8 O 0.657 0.113 0.382
O9 O 0.737 0.504 0.765
O10 O 0.764 0.997 0.727
O11 O 0.846 0.383 0.120
O12 O 0.886 0.654 0.383
```

Main lines, sorted by position (5 to 70 degrees two-theta):
(hkl)	Position (°2θ)	intensity
1 1 -2	30.43	100
0 2 0	30.53	49
-1 1 2	36.76	14
-1 2 1	40.42	16
1 0 3	40.57	11
2 0 -2	44.15	8
0 2 2	44.34	16
0 2 -4	49.56	20
1 3 -2	49.80	10
2 -2 2	50.04	8
1 1 -4	50.18	17
3 1 2	66.50	10